Starting from the PBE geometry in OQMD, the X-ray powder pattern of Hf9Re4S was calculated for Cu Kα.
Lines closer than 0.1° are merged.

The 10 most intense peaks (10 to 90 degrees two-theta), in order of rising 2θ:
| Position (°2θ) | d/Å | Rel. int. | h k l |
| --- | --- | --- | --- |
| 11.9 | 7.426 | 317 | 1 0 0 |
| 32.0 | 2.798 | 184 | 2 0 2 |
| 33.8 | 2.651 | 269 | 1 0 3 |
| 36.3 | 2.475 | 183 | 3 0 0 |
| 37.9 | 2.377 | 748 | 3 0 1 |
| 38.4 | 2.343 | 1000 | 2 1 2 |
| 40.0 | 2.255 | 469 | 2 0 3 |
| 42.2 | 2.143 | 286 | 2 2 0 |
| 63.7 | 1.461 | 256 | 3 2 3 |
| 66.7 | 1.403 | 512 | 3 0 5 |

Structure:
Cell: 8.575 8.575 8.514 Å, 90.00 90.00 120.00°
Positions (direct):
Hf (0.089, 0.544, 0.250)
Hf (0.195, 0.389, 0.553)
Hf (0.195, 0.389, 0.947)
Hf (0.195, 0.805, 0.553)
Hf (0.195, 0.805, 0.947)
Hf (0.389, 0.195, 0.053)
Hf (0.389, 0.195, 0.447)
Hf (0.456, 0.544, 0.250)
Hf (0.456, 0.911, 0.250)
Hf (0.544, 0.089, 0.750)
Hf (0.544, 0.456, 0.750)
Hf (0.611, 0.805, 0.553)
Hf (0.611, 0.805, 0.947)
Hf (0.805, 0.195, 0.053)
Hf (0.805, 0.195, 0.447)
Hf (0.805, 0.611, 0.053)
Hf (0.805, 0.611, 0.447)
Hf (0.911, 0.456, 0.750)
Re (0.000, 0.000, 0.000)
Re (0.000, 0.000, 0.500)
Re (0.110, 0.220, 0.250)
Re (0.110, 0.890, 0.250)
Re (0.220, 0.110, 0.750)
Re (0.780, 0.890, 0.250)
Re (0.890, 0.110, 0.750)
Re (0.890, 0.780, 0.750)
S (0.333, 0.667, 0.750)
S (0.667, 0.333, 0.250)